Structure and calculated X-ray diffraction stick pattern of ZrH24C8N2F6 (the PBE geometry in the Materials Project; Cu Kα).

Peak list (10 most intense, 10 to 80 degrees two-theta, in order of rising 2θ)
(hkl), 2θ/deg, I (rel.)
0 0 3, 12.43, 304
1 0 1, 12.76, 1000
1 0 4, 20.56, 426
1 1 0, 20.97, 367
0 1 5, 24.10, 139
1 1 3, 24.45, 251
0 2 1, 24.62, 107
0 2 4, 29.54, 120
1 1 6, 32.85, 90
1 2 5, 38.71, 113

Structural model:
Cell lengths 8.4723, 8.4723, 21.3700 Å; angles 90.00, 90.00, 120.00 degrees
Space group R-3 (No. 148, hexagonal axes)
Inequivalent atoms, fractional coordinates:
Zr 0.0000 0.0000 0.0000 (multiplicity 3)
H 0.0340 0.2642 0.7594 (multiplicity 18)
H 0.0549 0.4676 0.9081 (multiplicity 18)
H 0.0546 0.9138 0.6673 (multiplicity 18)
H 0.0619 0.8761 0.1720 (multiplicity 18)
C 0.0000 0.0000 0.3167 (multiplicity 6)
C 0.0616 0.8730 0.2233 (multiplicity 18)
N 0.0000 0.0000 0.2466 (multiplicity 6)
F 0.0662 0.8441 0.0556 (multiplicity 18)